Starting from a GGA-PBE-relaxed structure, the powder diffraction line list of Pu2MgGa3Pd4 was calculated for a wavelength of 1.5418 Å.

Cell and atoms:
a = 4.089 Å, b = 4.089 Å, c = 11.547 Å
α = 90.00°, β = 90.00°, γ = 90.00°
Fractional positions:
Pu1 0.000 0.500 0.246
Pu2 0.500 0.000 0.754
Mg1 0.000 0.000 0.500
Ga1 0.000 0.500 0.869
Ga2 0.500 0.000 0.131
Ga3 0.500 0.500 0.500
Pd1 0.000 0.000 0.000
Pd2 0.000 0.500 0.649
Pd3 0.500 0.000 0.351
Pd4 0.500 0.500 0.000

Top 8 peaks for 2θ = 15–90°, by angle:
2theta	I/Imax
30.9	33.8
31.9	70.4
34.7	100.0
44.3	47.3
45.1	43.1
55.6	28.6
65.1	30.6
75.3	21.3